The following is a theoretical powder diffraction line list of Mn3Co3Te2O16. It was derived from the PBE+U geometry in the Materials Project, using Cu Ka.
Kinematic intensities with the Lorentz-polarization factor, no thermal factor.

Crystal structure
Cell lengths 5.9308, 5.9742, 9.2757 Å; angles 88.20, 89.16, 60.25 degrees
Space group P1 (No. 1)
One atom of each set of equivalent atoms:
Mn 0.0000 0.0000 0.0000 (multiplicity 1)
Mn 0.1629 0.6603 0.5035 (multiplicity 1)
Mn 0.5039 0.4915 0.0064 (multiplicity 1)
Co 0.1618 0.1710 0.5112 (multiplicity 1)
Co 0.5063 0.9984 0.0148 (multiplicity 1)
Co 0.6695 0.6626 0.5091 (multiplicity 1)
Te 0.0025 0.4950 0.7839 (multiplicity 1)
Te 0.6619 0.1684 0.2848 (multiplicity 1)
O 0.1660 0.1725 0.8897 (multiplicity 1)
O 0.1706 0.6429 0.8936 (multiplicity 1)
O 0.2931 0.3638 0.6370 (multiplicity 1)
O 0.3308 0.8280 0.5914 (multiplicity 1)
O 0.3364 0.8257 0.0921 (multiplicity 1)
O 0.3709 0.3230 0.1382 (multiplicity 1)
O 0.4952 0.4872 0.3945 (multiplicity 1)
O 0.4963 0.0064 0.3858 (multiplicity 1)
O 0.6652 0.1741 0.9068 (multiplicity 1)
O 0.6797 0.6568 0.8925 (multiplicity 1)
O 0.7901 0.3385 0.1446 (multiplicity 1)
O 0.8136 0.8832 0.1447 (multiplicity 1)
O 0.8544 0.3552 0.6463 (multiplicity 1)
O 0.8672 0.7902 0.6381 (multiplicity 1)
O 0.9860 0.0028 0.3932 (multiplicity 1)
O 0.9983 0.5034 0.4056 (multiplicity 1)

Peak list (6 most intense, 15° ≤ 2θ ≤ 90°, sorted by position)
two_theta, Rel. int., (hkl)
19.38, 46, 0 1 1
19.50, 45, 1 1 1
19.72, 100, 1 0 -1
19.85, 44, 0 1 -1
19.95, 44, 1 1 -1
36.24, 77, 1 2 -2

***

The following is a theoretical powder diffraction line list of KCo2H3Se2O10. It was derived from the PBE+U geometry in the Materials Project, using Cu Ka.
Kinematic intensities with the Lorentz-polarization factor, no thermal factor.

Crystal structure
Cell lengths 13.8677, 7.1426, 7.0828 Å; angles 90.00, 115.28, 90.00 degrees
Space group Cm (No. 8)
One atom of each set of equivalent atoms:
K 0.0000 0.0000 0.0000 (multiplicity 2)
Co 0.2457 0.2277 0.8328 (multiplicity 4)
H 0.0230 0.0000 0.5057 (multiplicity 2)
H 0.0441 0.5000 0.9226 (multiplicity 2)
H 0.4985 0.0000 0.9532 (multiplicity 2)
Se 0.1345 0.5000 0.5398 (multiplicity 2)
Se 0.3402 0.0000 0.1970 (multiplicity 2)
O 0.0968 0.3073 0.6380 (multiplicity 4)
O 0.2067 0.0000 0.0051 (multiplicity 2)
O 0.2076 0.0000 0.4539 (multiplicity 2)
O 0.2417 0.0000 0.6611 (multiplicity 2)
O 0.2689 0.5000 0.7380 (multiplicity 2)
O 0.3784 0.1916 0.0940 (multiplicity 4)
O 0.3872 0.5000 0.5009 (multiplicity 2)
O 0.4487 0.5000 0.3974 (multiplicity 2)

Peak list (6 most intense, 15° ≤ 2θ ≤ 90°, sorted by position)
two_theta, Rel. int., (hkl)
17.67, 100, 1 1 -1
24.68, 56, 3 1 0
25.76, 48, 4 0 -1
28.62, 35, 0 2 1
34.69, 33, 2 2 1
35.79, 51, 2 2 -2

***

The following is a theoretical powder diffraction line list of Fe4H14O13. It was derived from the PBE+U geometry in the Materials Project, using Cu Ka.
Kinematic intensities with the Lorentz-polarization factor, no thermal factor.

Crystal structure
Cell lengths 6.6477, 6.7124, 6.7516 Å; angles 110.81, 109.87, 107.28 degrees
Space group P-1 (No. 2)
One atom of each set of equivalent atoms:
Fe 0.0000 0.0000 0.0000 (multiplicity 1)
Fe 0.0000 0.5000 0.5000 (multiplicity 1)
Fe 0.5000 0.0000 0.5000 (multiplicity 1)
Fe 0.5000 0.5000 0.0000 (multiplicity 1)
H 0.0444 0.3772 0.9375 (multiplicity 2)
H 0.0551 0.8158 0.3734 (multiplicity 2)
H 0.1812 0.0627 0.7387 (multiplicity 2)
H 0.2672 0.3093 0.4423 (multiplicity 2)
H 0.3022 0.8502 0.0439 (multiplicity 2)
H 0.3333 0.5709 0.2836 (multiplicity 2)
H 0.4477 0.7602 0.8085 (multiplicity 2)
O 0.0000 0.5000 0.0000 (multiplicity 1)
O 0.1293 0.3041 0.3159 (multiplicity 2)
O 0.1809 0.1996 0.8647 (multiplicity 2)
O 0.1870 0.8235 0.5072 (multiplicity 2)
O 0.3103 0.9902 0.1742 (multiplicity 2)
O 0.3209 0.6421 0.8154 (multiplicity 2)
O 0.4915 0.6818 0.3135 (multiplicity 2)

Peak list (6 most intense, 15° ≤ 2θ ≤ 90°, sorted by position)
two_theta, Rel. int., (hkl)
22.45, 100, 1 1 -1
23.11, 92, 1 -1 1
23.28, 92, -1 1 1
32.32, 30, 0 2 -2
32.72, 51, 0 0 2
57.48, 29, 2 2 0